# 1
This entry pairs a crystal structure of Ho3Ga3Au with its computed powder XRD pattern. Radiation: Cu Kα (λ = 1.5418 Å). Structure: DFT lattice parameters and positions (GGA-PBE).

Crystal structure
a b c (Å): 10.6845 4.3893 14.2369
angles (deg): 90.00 109.82 90.00
Space group C2/m (No. 12)
Symmetry-distinct sites (fractional):
Ho 0.0353 0.0000 0.3798 (multiplicity 4)
Ho 0.1054 0.0000 0.9251 (multiplicity 4)
Ho 0.2369 0.0000 0.2258 (multiplicity 4)
Ga 0.0217 0.5000 0.2258 (multiplicity 4)
Ga 0.1103 0.5000 0.0749 (multiplicity 4)
Ga 0.1285 0.5000 0.5402 (multiplicity 4)
Au 0.2468 0.5000 0.3861 (multiplicity 4)

The 10 most intense peaks (15° ≤ 2θ ≤ 90°), by angle:
hkl, two_theta, I_rel
1 1 3, 31.90, 100
1 1 -4, 32.40, 92
3 1 -2, 32.67, 50
4 0 -2, 33.58, 39
3 1 -3, 34.24, 28
3 1 -4, 37.04, 33
3 1 2, 39.65, 85
0 2 0, 41.13, 66
4 2 -2, 54.08, 25
7 1 -3, 64.66, 26

# 2
This entry pairs a crystal structure of Rb3Np3ZnS8 with its computed powder XRD pattern. Radiation: Cu Kα (λ = 1.5418 Å). Structure: DFT lattice parameters and positions (GGA-PBE).

Crystal structure
a b c (Å): 13.6737 8.2091 8.9263
angles (deg): 90.00 119.69 90.00
Space group C2/m (No. 12)
Symmetry-distinct sites (fractional):
Rb 0.0000 0.0000 0.0000 (multiplicity 2)
Rb 0.2500 0.2500 0.0000 (multiplicity 4)
Np 0.0000 0.5000 0.5000 (multiplicity 2)
Np 0.2500 0.2500 0.5000 (multiplicity 4)
Zn 0.0000 0.0000 0.5000 (multiplicity 2)
S 0.0235 0.2646 0.3086 (multiplicity 8)
S 0.2023 0.0000 0.6651 (multiplicity 4)
S 0.2322 0.5000 0.6920 (multiplicity 4)

The 10 most intense peaks (15° ≤ 2θ ≤ 90°), by angle:
hkl, two_theta, I_rel
0 0 2, 22.94, 42
2 2 -1, 25.64, 21
2 2 0, 26.40, 50
4 0 -2, 27.33, 22
2 2 -2, 29.79, 100
4 0 0, 30.09, 46
4 0 1, 37.39, 28
2 2 2, 40.04, 36
6 2 -2, 45.53, 31
4 0 2, 46.88, 28

# 3
This entry pairs a crystal structure of LaPm6NdSm2 with its computed powder XRD pattern. Radiation: Cu Kα (λ = 1.5418 Å). Structure: DFT lattice parameters and positions (GGA-PBE).

Crystal structure
a b c (Å): 9.2533 15.4302 9.9449
angles (deg): 90.00 98.65 90.00
Space group C2/c (No. 15)
Symmetry-distinct sites (fractional):
La 0.0000 0.0953 0.2500 (multiplicity 4)
Pm 0.0675 0.3166 0.4440 (multiplicity 8)
Pm 0.0995 0.1051 0.6219 (multiplicity 8)
Pm 0.2018 0.2732 0.8188 (multiplicity 8)
Nd 0.0000 0.4766 0.7500 (multiplicity 4)
Sm 0.2415 0.4501 0.0432 (multiplicity 8)

The 10 most intense peaks (15° ≤ 2θ ≤ 90°), by angle:
hkl, two_theta, I_rel
1 3 2, 27.90, 39
0 2 3, 29.62, 42
3 1 -1, 29.91, 57
1 5 0, 30.57, 44
2 2 2, 30.86, 100
1 5 -1, 31.50, 25
1 3 -3, 32.63, 49
2 2 -3, 33.24, 15
1 1 5, 49.19, 13
4 2 -4, 51.75, 21

# 4
This entry pairs a crystal structure of PmDy5ErTh2 with its computed powder XRD pattern. Radiation: Cu Kα (λ = 1.5418 Å). Structure: DFT lattice parameters and positions (GGA-PBE).

Crystal structure
a b c (Å): 8.8394 8.8394 15.2920
angles (deg): 90.00 90.00 90.00
Space group I4/mcm (No. 140)
Symmetry-distinct sites (fractional):
Pm 0.0000 0.0000 0.2500 (multiplicity 4)
Dy 0.0000 0.0000 0.0000 (multiplicity 4)
Dy 0.2087 0.2913 0.1382 (multiplicity 16)
Er 0.0000 0.5000 0.2500 (multiplicity 4)
Th 0.1190 0.3810 0.5000 (multiplicity 8)

The 10 most intense peaks (15° ≤ 2θ ≤ 90°), by angle:
hkl, two_theta, I_rel
2 2 0, 28.57, 100
2 0 4, 30.93, 83
3 1 2, 34.15, 15
3 2 1, 37.15, 38
4 0 2, 42.58, 23
0 0 8, 47.56, 18
4 2 4, 52.09, 20
2 2 8, 56.42, 22
4 4 4, 64.41, 17
4 4 8, 79.16, 19